No. 1
Starting from a DFT-relaxed cell (PBE, Alexandria), the powder X-ray diffraction pattern of Pr3Ga2Rh6 was calculated for copper Kα.
Peak positions follow from Bragg's law for the DFT cell and can differ from measured ones.

Crystal structure
Cell lengths 9.481, 9.481, 9.481 Å; angles 90.00, 90.00, 90.00 degrees
Space group Im-3m (No. 229)
Asymmetric unit:
Pr 0.000 0.000 0.288
Ga 0.250 0.250 0.250
Rh 0.000 0.344 0.344

The 10 most intense peaks (10° ≤ 2θ ≤ 90°), low angle first:
13.2 deg, d 6.704, I = 149, (1 1 0); 29.8 deg, d 2.998, I = 137, (3 1 0); 32.7 deg, d 2.737, I = 221, (2 2 2); 35.4 deg, d 2.534, I = 263, (3 2 1); 38.0 deg, d 2.370, I = 104, (4 0 0); 40.4 deg, d 2.235, I = 1000, (3 3 0); 60.2 deg, d 1.538, I = 119, (5 3 2); 65.3 deg, d 1.429, I = 133, (6 2 2); 73.4 deg, d 1.290, I = 250, (6 3 3); 82.7 deg, d 1.167, I = 124, (7 4 1)

=====

No. 2
Starting from a DFT-relaxed cell (PBE, Alexandria), the powder X-ray diffraction pattern of Tc2Ru was calculated for copper Kα.
Peak positions follow from Bragg's law for the DFT cell and can differ from measured ones.

Crystal structure
Cell lengths 9.936, 2.758, 6.457 Å; angles 90.00, 103.89, 90.00 degrees
Space group Cm (No. 8)
Asymmetric unit:
Tc 0.000 0.000 0.000
Tc 0.056 0.000 0.611
Tc 0.223 0.500 0.945
Tc 0.387 0.000 0.280
Ru 0.167 0.500 0.335
Ru 0.333 0.000 0.669

The 10 most intense peaks (10° ≤ 2θ ≤ 90°), low angle first:
37.7 deg, d 2.386, I = 196, (1 1 1); 37.8 deg, d 2.380, I = 100, (2 0 2); 41.4 deg, d 2.181, I = 302, (4 0 -2); 43.2 deg, d 2.092, I = 1000, (3 1 0); 43.3 deg, d 2.089, I = 197, (4 0 1); 57.3 deg, d 1.609, I = 171, (6 0 0); 68.2 deg, d 1.375, I = 133, (3 1 3); 76.8 deg, d 1.241, I = 210, (7 1 -2); 83.0 deg, d 1.163, I = 153, (7 1 1); 84.1 deg, d 1.151, I = 111, (4 2 1)

=====

No. 3
Starting from a DFT-relaxed cell (PBE, Alexandria), the powder X-ray diffraction pattern of Dy3Sn2Pd6 was calculated for copper Kα.
Peak positions follow from Bragg's law for the DFT cell and can differ from measured ones.

Crystal structure
Cell lengths 9.656, 9.656, 9.656 Å; angles 90.00, 90.00, 90.00 degrees
Space group Im-3m (No. 229)
Asymmetric unit:
Dy 0.000 0.000 0.289
Sn 0.250 0.250 0.250
Pd 0.000 0.343 0.343

The 10 most intense peaks (10° ≤ 2θ ≤ 90°), low angle first:
13.0 deg, d 6.828, I = 119, (1 1 0); 29.2 deg, d 3.053, I = 167, (3 1 0); 32.1 deg, d 2.787, I = 331, (2 2 2); 34.8 deg, d 2.581, I = 260, (3 2 1); 37.2 deg, d 2.414, I = 170, (4 0 0); 39.6 deg, d 2.276, I = 1000, (3 3 0); 41.8 deg, d 2.159, I = 147, (4 2 0); 59.0 deg, d 1.566, I = 131, (5 3 2); 64.0 deg, d 1.456, I = 195, (6 2 2); 71.8 deg, d 1.314, I = 262, (6 3 3)